Starting from a PBE+U-relaxed structure, the powder diffraction line list of Fe5O2F8 was computed for copper Kα.
Peak positions follow from Bragg's law for the DFT cell and can differ from measured ones.

Main lines, by angle (2θ from 10° to 80°):
Position (°2θ)	I (rel.)
26.35	1000
33.21	155
33.41	291
33.61	139
50.89	156
51.03	154
51.31	161
51.44	158
54.23	192
65.22	105

Atomic structure:
```
data_Fe5O2F8
_chemical_formula_sum 'Fe10 O4 F16'
_cell_length_a 4.7852
_cell_length_b 4.7834
_cell_length_c 16.8298
_cell_angle_alpha 90.00
_cell_angle_beta 105.81
_cell_angle_gamma 90.00
_space_group_name_H-M_alt 'P 1 21/c 1'
_space_group_IT_number 14
_space_group_name_Hall '-P 2ybc'
loop_
_atom_site_label
_atom_site_fract_x
_atom_site_fract_y
_atom_site_fract_z
_atom_site_occupancy
Fe1 0.0000 0.0000 0.0000 1
Fe2 0.1873 0.0073 0.1929 1
Fe3 0.3729 0.5300 0.8989 1
O1 0.0707 0.6780 0.3936 1
F1 0.0857 0.1903 0.2912 1
F2 0.3032 0.1974 0.5001 1
F3 0.3282 0.7181 0.6109 1
F4 0.4832 0.7099 0.7895 1
```

***

Starting from a PBE+U-relaxed structure, the powder diffraction line list of Fe4O7F was computed for copper Kα.
Peak positions follow from Bragg's law for the DFT cell and can differ from measured ones.

Main lines, by angle (2θ from 10° to 80°):
Position (°2θ)	I (rel.)
27.34	1000
35.71	132
35.83	261
35.96	127
39.06	104
53.90	285
54.17	287
56.42	154
63.81	86
68.66	102

Atomic structure:
```
data_Fe4O7F
_chemical_formula_sum 'Fe16 O28 F4'
_cell_length_a 5.9704
_cell_length_b 18.4518
_cell_length_c 5.4759
_cell_angle_alpha 90.00
_cell_angle_beta 122.62
_cell_angle_gamma 90.00
_space_group_name_H-M_alt 'C 1 c 1'
_space_group_IT_number 9
_space_group_name_Hall 'C -2yc'
loop_
_atom_site_label
_atom_site_fract_x
_atom_site_fract_y
_atom_site_fract_z
_atom_site_occupancy
Fe1 0.0000 0.0590 0.0000 1
Fe2 0.4666 0.1899 0.4495 1
Fe3 0.4853 0.3085 0.9596 1
Fe4 0.4892 0.0654 0.9712 1
O1 0.1204 0.2372 0.2563 1
O2 0.1387 0.2641 0.7726 1
O3 0.1489 0.4840 0.2918 1
O4 0.1509 0.0164 0.7976 1
O5 0.3226 0.1416 0.6474 1
O6 0.3345 0.3875 0.6685 1
O7 0.3369 0.1120 0.1672 1
F1 0.3395 0.3593 0.1669 1
```

***

Starting from a PBE+U-relaxed structure, the powder diffraction line list of Fe6OF11 was computed for copper Kα.
Peak positions follow from Bragg's law for the DFT cell and can differ from measured ones.

Main lines, by angle (2θ from 10° to 80°):
Position (°2θ)	I (rel.)
25.88	891
26.00	914
33.52	1000
38.43	370
50.72	596
50.85	591
53.21	194
57.56	191
64.18	239
64.49	426

Atomic structure:
```
data_Fe6OF11
_chemical_formula_sum 'Fe12 O2 F22'
_cell_length_a 3.2024
_cell_length_b 20.6554
_cell_length_c 6.8538
_cell_angle_alpha 90.00
_cell_angle_beta 90.00
_cell_angle_gamma 90.00
_space_group_name_H-M_alt 'A m m 2'
_space_group_IT_number 38
_space_group_name_Hall 'A 2 -2'
loop_
_atom_site_label
_atom_site_fract_x
_atom_site_fract_y
_atom_site_fract_z
_atom_site_occupancy
Fe1 0.0000 0.0000 0.0000 1
Fe2 0.0000 0.1662 0.4713 1
Fe3 0.5000 0.0000 0.4619 1
Fe4 0.5000 0.1664 0.9700 1
O1 0.5000 0.0000 0.1598 1
F1 0.0000 0.0672 0.4813 1
F2 0.0000 0.0976 0.9628 1
F3 0.0000 0.2328 0.9713 1
F4 0.5000 0.0000 0.7824 1
F5 0.5000 0.1660 0.2716 1
F6 0.5000 0.1687 0.6693 1
```

***

Starting from a PBE+U-relaxed structure, the powder diffraction line list of Fe3O2F4 was computed for copper Kα.
Peak positions follow from Bragg's law for the DFT cell and can differ from measured ones.

Main lines, by angle (2θ from 10° to 80°):
Position (°2θ)	I (rel.)
26.57	1000
34.27	481
37.93	83
39.32	184
42.63	73
52.04	574
54.73	195
61.85	103
65.71	75
66.18	207

Atomic structure:
```
data_Fe3O2F4
_chemical_formula_sum 'Fe6 O4 F8'
_cell_length_a 4.7440
_cell_length_b 4.7440
_cell_length_c 9.4121
_cell_angle_alpha 90.00
_cell_angle_beta 90.00
_cell_angle_gamma 90.00
_space_group_name_H-M_alt 'P 42/m n m'
_space_group_IT_number 136
_space_group_name_Hall '-P 4n 2n'
loop_
_atom_site_label
_atom_site_fract_x
_atom_site_fract_y
_atom_site_fract_z
_atom_site_occupancy
Fe1 0.0000 0.0000 0.0000 1
Fe2 0.0000 0.0000 0.3568 1
O1 0.2141 0.2141 0.5000 1
F1 0.1932 0.1932 0.1716 1
```

***

Starting from a PBE+U-relaxed structure, the powder diffraction line list of Fe5O8F2 was computed for copper Kα.
Peak positions follow from Bragg's law for the DFT cell and can differ from measured ones.

Main lines, by angle (2θ from 10° to 80°):
Position (°2θ)	I (rel.)
26.80	1000
27.61	957
35.72	752
35.84	265
53.32	436
53.49	147
54.23	141
55.22	160
57.01	153
62.12	156

Atomic structure:
```
data_Fe5O8F2
_chemical_formula_sum 'Fe10 O16 F4'
_cell_length_a 4.6257
_cell_length_b 5.5226
_cell_length_c 12.8346
_cell_angle_alpha 101.42
_cell_angle_beta 90.42
_cell_angle_gamma 91.52
_space_group_name_H-M_alt 'P 1'
_space_group_IT_number 1
_space_group_name_Hall 'P 1'
loop_
_atom_site_label
_atom_site_fract_x
_atom_site_fract_y
_atom_site_fract_z
_atom_site_occupancy
Fe1 0.0000 0.0000 0.0000 1
Fe2 0.0009 0.5861 0.4044 1
Fe3 0.0275 0.1869 0.7985 1
Fe4 0.0380 0.3846 0.6003 1
Fe5 0.4954 0.4958 0.0005 1
Fe6 0.4978 0.7078 0.8048 1
Fe7 0.5015 0.2901 0.2058 1
Fe8 0.5137 0.9037 0.5986 1
Fe9 0.5266 0.1050 0.4058 1
Fe10 0.9633 0.8026 0.1991 1
O1 0.1898 0.2546 0.9410 1
O2 0.1908 0.0543 0.1382 1
O3 0.2170 0.6480 0.5456 1
O4 0.2197 0.4474 0.7379 1
O5 0.3123 0.7416 0.9354 1
O6 0.3141 0.3375 0.3426 1
O7 0.3159 0.1383 0.5329 1
O8 0.3207 0.9538 0.7425 1
O9 0.6776 0.2526 0.0668 1
O10 0.7015 0.0466 0.2712 1
O11 0.7036 0.8469 0.4602 1
O12 0.7959 0.5417 0.2624 1
O13 0.7974 0.7446 0.0574 1
O14 0.8104 0.9450 0.8638 1
O15 0.8126 0.3537 0.4760 1
O16 0.8326 0.1431 0.6623 1
F1 0.2057 0.8429 0.3361 1
F2 0.2867 0.5628 0.1475 1
F3 0.7128 0.4378 0.8545 1
F4 0.7143 0.6531 0.6698 1
```

***

Starting from a PBE+U-relaxed structure, the powder diffraction line list of Fe5O4F8 was computed for copper Kα.
Peak positions follow from Bragg's law for the DFT cell and can differ from measured ones.

Main lines, by angle (2θ from 10° to 80°):
Position (°2θ)	I (rel.)
10.83	82
19.46	140
24.87	1000
35.93	80
36.39	248
47.33	320
52.07	203
54.08	94
54.32	98
61.14	174

Atomic structure:
```
data_Fe5O4F8
_chemical_formula_sum 'Fe20 O16 F32'
_cell_length_a 5.4171
_cell_length_b 9.8746
_cell_length_c 16.3403
_cell_angle_alpha 90.00
_cell_angle_beta 90.00
_cell_angle_gamma 90.00
_space_group_name_H-M_alt 'F 2 2 2'
_space_group_IT_number 22
_space_group_name_Hall 'F 2 2'
loop_
_atom_site_label
_atom_site_fract_x
_atom_site_fract_y
_atom_site_fract_z
_atom_site_occupancy
Fe1 0.0000 0.0000 0.0000 1
Fe2 0.0000 0.0000 0.3374 1
Fe3 0.2500 0.2500 0.5902 1
O1 0.2401 0.0487 0.9197 1
F1 0.0000 0.2228 0.0000 1
F2 0.0122 0.2024 0.3350 1
F3 0.2500 0.0009 0.7500 1
```

***

Starting from a PBE+U-relaxed structure, the powder diffraction line list of Fe3O2F4 was computed for copper Kα.
Peak positions follow from Bragg's law for the DFT cell and can differ from measured ones.

Main lines, by angle (2θ from 10° to 80°):
Position (°2θ)	I (rel.)
26.41	909
26.59	898
33.91	1000
38.91	183
39.04	180
51.50	296
51.70	549
51.90	262
64.87	216
65.58	206

Atomic structure:
```
data_Fe3O2F4
_chemical_formula_sum 'Fe6 O4 F8'
_cell_length_a 4.7381
_cell_length_b 9.5393
_cell_length_c 4.7762
_cell_angle_alpha 90.00
_cell_angle_beta 90.40
_cell_angle_gamma 90.00
_space_group_name_H-M_alt 'P 1 m 1'
_space_group_IT_number 6
_space_group_name_Hall 'P -2y'
loop_
_atom_site_label
_atom_site_fract_x
_atom_site_fract_y
_atom_site_fract_z
_atom_site_occupancy
Fe1 0.0000 0.0000 0.0000 1
Fe2 0.0168 0.3239 0.9609 1
Fe3 0.4527 0.1768 0.4611 1
Fe4 0.4746 0.5000 0.4974 1
O1 0.1759 0.1582 0.1650 1
O2 0.2937 0.3231 0.6644 1
F1 0.1828 0.5000 0.1654 1
F2 0.2874 0.0000 0.6634 1
F3 0.6695 0.0000 0.2779 1
F4 0.6912 0.3230 0.2625 1
F5 0.7829 0.1520 0.7626 1
F6 0.8062 0.5000 0.7846 1
```

***

Starting from a PBE+U-relaxed structure, the powder diffraction line list of Fe3O5F was computed for copper Kα.
Peak positions follow from Bragg's law for the DFT cell and can differ from measured ones.

Main lines, by angle (2θ from 10° to 80°):
Position (°2θ)	I (rel.)
26.33	992
27.88	912
35.57	1000
38.72	194
52.70	587
54.19	160
54.46	527
57.62	150
61.74	153
68.05	382

Atomic structure:
```
data_Fe3O5F
_chemical_formula_sum 'Fe12 O20 F4'
_cell_length_a 9.0155
_cell_length_b 6.3993
_cell_length_c 6.7700
_cell_angle_alpha 90.00
_cell_angle_beta 90.00
_cell_angle_gamma 90.00
_space_group_name_H-M_alt 'A m m 2'
_space_group_IT_number 38
_space_group_name_Hall 'A 2 -2'
loop_
_atom_site_label
_atom_site_fract_x
_atom_site_fract_y
_atom_site_fract_z
_atom_site_occupancy
Fe1 0.0000 0.0000 0.0000 1
Fe2 0.1614 0.0000 0.4855 1
Fe3 0.3326 0.0000 0.0163 1
Fe4 0.5000 0.0000 0.4875 1
O1 0.0000 0.0000 0.2919 1
O2 0.0000 0.0000 0.6718 1
O3 0.1696 0.1955 0.9936 1
O4 0.3280 0.0000 0.3150 1
O5 0.5000 0.1926 0.0079 1
F1 0.3361 0.0000 0.6996 1
```

***

Starting from a PBE+U-relaxed structure, the powder diffraction line list of Fe4O7F was computed for copper Kα.
Peak positions follow from Bragg's law for the DFT cell and can differ from measured ones.

Main lines, by angle (2θ from 10° to 80°):
Position (°2θ)	I (rel.)
26.88	939
27.80	917
35.59	1000
39.05	192
53.33	556
54.38	536
55.39	158
61.56	153
68.45	291
68.54	185

Atomic structure:
```
data_Fe4O7F
_chemical_formula_sum 'Fe16 O28 F4'
_cell_length_a 8.7979
_cell_length_b 6.6346
_cell_length_c 8.8092
_cell_angle_alpha 90.00
_cell_angle_beta 93.61
_cell_angle_gamma 90.00
_space_group_name_H-M_alt 'C 1 2/c 1'
_space_group_IT_number 15
_space_group_name_Hall '-C 2yc'
loop_
_atom_site_label
_atom_site_fract_x
_atom_site_fract_y
_atom_site_fract_z
_atom_site_occupancy
Fe1 0.0000 0.2241 0.2500 1
Fe2 0.1291 0.2467 0.8791 1
Fe3 0.2500 0.2500 0.5000 1
O1 0.0000 0.0742 0.7500 1
O2 0.0282 0.2426 0.4712 1
O3 0.2216 0.2418 0.2784 1
O4 0.2445 0.4448 0.9972 1
F1 0.0000 0.4567 0.7500 1
```

***

Starting from a PBE+U-relaxed structure, the powder diffraction line list of Fe6O7F5 was computed for copper Kα.
Peak positions follow from Bragg's law for the DFT cell and can differ from measured ones.

Main lines, by angle (2θ from 10° to 80°):
Position (°2θ)	I (rel.)
27.09	1000
27.77	959
35.55	537
35.67	529
53.55	450
54.23	279
54.49	275
55.85	162
61.52	172
68.67	259

Atomic structure:
```
data_Fe6O7F5
_chemical_formula_sum 'Fe6 O7 F5'
_cell_length_a 4.5932
_cell_length_b 5.4976
_cell_length_c 7.5998
_cell_angle_alpha 85.76
_cell_angle_beta 89.33
_cell_angle_gamma 88.70
_space_group_name_H-M_alt 'P 1'
_space_group_IT_number 1
_space_group_name_Hall 'P 1'
loop_
_atom_site_label
_atom_site_fract_x
_atom_site_fract_y
_atom_site_fract_z
_atom_site_occupancy
Fe1 0.0000 0.0000 0.0000 1
Fe2 0.0042 0.3305 0.6752 1
Fe3 0.4623 0.5178 0.0079 1
Fe4 0.4775 0.8459 0.6698 1
Fe5 0.4940 0.1925 0.3607 1
Fe6 0.9490 0.6651 0.3282 1
O1 0.1742 0.2913 0.9009 1
O2 0.2840 0.8024 0.8973 1
O3 0.2888 0.1376 0.5803 1
O4 0.2886 0.4806 0.2377 1
O5 0.6766 0.8812 0.4465 1
O6 0.7900 0.7218 0.0979 1
O7 0.8060 0.3771 0.4548 1
F1 0.1814 0.9813 0.2368 1
F2 0.1900 0.6380 0.5740 1
F3 0.6847 0.2115 0.1063 1
F4 0.6849 0.5432 0.7702 1
F5 0.7834 0.0398 0.7737 1
```